Record 1
Structure and theoretical powder XRD pattern of BeSnAu3 (a PBE-relaxed structure; Cu Kα (weighted mean of Kα1 and Kα2)).

Largest 8 diffraction maxima, in order of rising 2θ, 10° ≤ 2θ ≤ 80°:
d (Å)  two_theta  I/Imax  h k l
2.830  31.62  24  2 0 0
2.481  36.20  24  0 0 2
2.458  36.55  100  2 0 1
1.866  48.81  15  2 0 2
1.634  56.31  18  2 2 0
1.428  65.34  19  2 0 3
1.365  68.80  19  2 2 2
1.361  69.02  14  4 0 1

Atomic structure:
Unit cell a=6.5350 b=6.5350 c=4.9628 alpha=90.00 beta=90.00 gamma=120.00
Space group P6_3/mmc (No. 194)
Inequivalent atoms, fractional coordinates:
Be1 0.0000 0.0000 0.0000 (multiplicity 2)
Sn1 0.3333 0.6667 0.2500 (multiplicity 2)
Au1 0.1817 0.3635 0.7500 (multiplicity 6)



Record 2
Structure and theoretical powder XRD pattern of BeSn2Au6 (a PBE-relaxed structure; Cu Kα (weighted mean of Kα1 and Kα2)).

Largest 8 diffraction maxima, in order of rising 2θ, 10° ≤ 2θ ≤ 80°:
d (Å)  two_theta  I/Imax  h k l
3.552  25.07  57  2 0 -1
2.714  33.01  46  1 1 -2
2.545  35.26  100  0 1 2
2.441  36.82  83  2 1 -2
2.251  40.06  35  0 0 3
2.069  43.75  63  2 1 1
1.937  46.91  38  0 2 0
1.279  74.13  32  5 1 -4

Atomic structure:
Unit cell a=7.1045 b=3.8738 c=7.6271 alpha=90.00 beta=117.71 gamma=90.00
Space group P2/m (No. 10)
Inequivalent atoms, fractional coordinates:
Be1 0.0000 0.0000 0.0000 (multiplicity 1)
Sn1 0.3009 0.5000 0.6009 (multiplicity 2)
Au1 0.0551 0.0000 0.7019 (multiplicity 2)
Au2 0.2171 0.5000 0.0003 (multiplicity 2)
Au3 0.3514 0.0000 0.2986 (multiplicity 2)



Record 3
Structure and theoretical powder XRD pattern of Sr2Be3SnAu12 (a PBE-relaxed structure; Cu Kα (weighted mean of Kα1 and Kα2)).

Largest 8 diffraction maxima, in order of rising 2θ, 10° ≤ 2θ ≤ 80°:
d (Å)  two_theta  I/Imax  h k l
4.135  21.49  20  1 0 4
2.931  30.49  100  0 2 4
2.688  33.33  21  2 0 5
2.627  34.13  16  1 2 2
2.396  37.53  20  2 1 4
2.078  43.55  49  2 2 0
2.068  43.79  31  2 0 8
1.426  65.43  16  0 2 13

Atomic structure:
Unit cell a=8.3124 b=8.3124 c=20.2067 alpha=90.00 beta=90.00 gamma=120.00
Space group R-3m (No. 166, hexagonal axes)
Inequivalent atoms, fractional coordinates:
Sr1 0.0000 0.0000 0.1060 (multiplicity 6)
Be1 0.0000 0.5000 0.0000 (multiplicity 9)
Sn1 0.0000 0.0000 0.5000 (multiplicity 3)
Au1 0.0136 0.5068 0.8847 (multiplicity 18)
Au2 0.0426 0.5213 0.3568 (multiplicity 18)



Record 4
Structure and theoretical powder XRD pattern of Sr2BeAu6 (a PBE-relaxed structure; Cu Kα (weighted mean of Kα1 and Kα2)).

Largest 8 diffraction maxima, in order of rising 2θ, 10° ≤ 2θ ≤ 80°:
d (Å)  two_theta  I/Imax  h k l
4.584  19.36  8  2 0 0
3.242  27.52  6  2 2 0
2.647  33.87  100  2 2 2
2.292  39.31  51  4 0 0
1.764  51.81  4  3 3 3
1.621  56.80  34  4 4 0
1.382  67.80  38  6 2 2
1.323  71.26  11  4 4 4

Atomic structure:
Unit cell a=9.1685 b=9.1685 c=9.1685 alpha=90.00 beta=90.00 gamma=90.00
Space group Fm-3m (No. 225)
Inequivalent atoms, fractional coordinates:
Sr1 0.2500 0.2500 0.2500 (multiplicity 8)
Be1 0.0000 0.0000 0.0000 (multiplicity 4)
Au1 0.0000 0.0000 0.2635 (multiplicity 24)



Record 5
Structure and theoretical powder XRD pattern of SrBe2Au10 (a PBE-relaxed structure; Cu Kα (weighted mean of Kα1 and Kα2)).

Largest 8 diffraction maxima, in order of rising 2θ, 10° ≤ 2θ ≤ 80°:
d (Å)  two_theta  I/Imax  h k l
6.055  14.63  44  0 2 0
2.800  31.97  65  0 4 2
2.726  32.85  57  2 0 0
2.533  35.44  55  1 1 5
2.453  36.64  60  0 0 6
2.338  38.51  100  0 4 4
2.190  41.22  96  2 0 4
2.026  44.73  92  2 4 0

Atomic structure:
Unit cell a=5.4524 b=12.1099 c=14.7171 alpha=90.00 beta=90.00 gamma=90.00
Space group Fmmm (No. 69)
Inequivalent atoms, fractional coordinates:
Sr1 0.0000 0.0000 0.0000 (multiplicity 4)
Be1 0.2500 0.0000 0.2500 (multiplicity 8)
Au1 0.0000 0.1151 0.3660 (multiplicity 16)
Au2 0.0000 0.1498 0.1734 (multiplicity 16)
Au3 0.2500 0.2500 0.0000 (multiplicity 8)



Record 6
Structure and theoretical powder XRD pattern of SrBe2Au9 (a PBE-relaxed structure; Cu Kα (weighted mean of Kα1 and Kα2)).

Largest 8 diffraction maxima, in order of rising 2θ, 10° ≤ 2θ ≤ 80°:
d (Å)  two_theta  I/Imax  h k l
4.093  21.71  31  2 1 1
2.978  30.01  28  2 0 2
2.520  35.63  64  4 2 0
2.500  35.92  70  3 1 2
2.197  41.09  29  4 0 2
2.146  42.11  100  5 0 1
2.121  42.63  25  2 1 3
1.451  64.19  25  5 5 2

Atomic structure:
Unit cell a=11.2688 b=11.2688 c=7.0164 alpha=90.00 beta=90.00 gamma=90.00
Space group I4_1/amd (No. 141, origin choice 2)
Inequivalent atoms, fractional coordinates:
Sr1 0.0000 0.2500 0.3750 (multiplicity 4)
Be1 0.0000 0.0000 0.0000 (multiplicity 8)
Au1 0.0000 0.2500 0.8750 (multiplicity 4)
Au2 0.1200 0.0496 0.6912 (multiplicity 32)



Record 7
Structure and theoretical powder XRD pattern of SrBeZnAu6 (a PBE-relaxed structure; Cu Kα (weighted mean of Kα1 and Kα2)).

Largest 8 diffraction maxima, in order of rising 2θ, 10° ≤ 2θ ≤ 80°:
d (Å)  two_theta  I/Imax  h k l
4.116  21.59  24  1 1 2
2.931  30.50  35  0 0 4
2.890  30.94  100  2 2 0
2.430  36.99  17  0 2 4
2.173  41.55  29  0 4 0
2.058  44.00  67  2 2 4
1.935  46.96  18  4 0 0
1.445  64.47  16  4 4 0

Atomic structure:
Unit cell a=7.7393 b=8.6929 c=11.7240 alpha=90.00 beta=90.00 gamma=90.00
Space group Imma (No. 74)
Inequivalent atoms, fractional coordinates:
Sr1 0.0000 0.2500 0.1689 (multiplicity 4)
Be1 0.0000 0.0000 0.5000 (multiplicity 4)
Zn1 0.2500 0.2500 0.7500 (multiplicity 4)
Au1 0.0000 0.2500 0.4310 (multiplicity 4)
Au2 0.0000 0.2500 0.8948 (multiplicity 4)
Au3 0.2292 0.0114 0.6235 (multiplicity 16)



Record 8
Structure and theoretical powder XRD pattern of TaBe2Au (a PBE-relaxed structure; Cu Kα (weighted mean of Kα1 and Kα2)).

Largest 8 diffraction maxima, in order of rising 2θ, 10° ≤ 2θ ≤ 80°:
d (Å)  two_theta  I/Imax  h k l
6.541  13.54  57  0 0 1
3.270  27.27  18  0 0 2
2.592  34.61  100  1 0 1
2.180  41.42  20  0 0 3
2.137  42.29  56  1 0 2
1.996  45.44  33  1 1 0
1.472  63.15  24  1 1 3
1.240  76.91  21  2 1 1

Atomic structure:
Unit cell a=2.8229 b=2.8229 c=6.5405 alpha=90.00 beta=90.00 gamma=90.00
Space group P4mm (No. 99)
Inequivalent atoms, fractional coordinates:
Ta1 0.0000 0.0000 0.0000 (multiplicity 1)
Be1 0.0000 0.0000 0.5791 (multiplicity 1)
Be2 0.5000 0.5000 0.7413 (multiplicity 1)
Au1 0.5000 0.5000 0.3447 (multiplicity 1)